[1]
Structure and theoretical powder diffraction line list of Nb14SnPt (a cell relaxed with PBE; a wavelength of 1.5418 Å).
Peak positions follow from Bragg's law for the DFT cell and can differ from measured ones.

Crystal structure
Cell: 5.7748 5.7748 9.1469 Å, 90.00 90.00 106.89°
Positions (direct):
Nb 0.0000 0.0000 0.0000
Nb 0.0000 0.5000 0.0000
Nb 0.0000 0.5000 0.5000
Nb 0.2460 0.7540 0.2556
Nb 0.2460 0.7540 0.7444
Nb 0.2591 0.2591 0.2470
Nb 0.2591 0.2591 0.7530
Nb 0.5000 0.0000 0.0000
Nb 0.5000 0.0000 0.5000
Nb 0.5000 0.5000 0.0000
Nb 0.7409 0.7409 0.2470
Nb 0.7409 0.7409 0.7530
Nb 0.7540 0.2460 0.2556
Nb 0.7540 0.2460 0.7444
Sn 0.0000 0.0000 0.5000
Pt 0.5000 0.5000 0.5000

Largest 12 diffraction maxima, by intensity, 2θ = 10–90°:
2theta  I (rel.)
38.1  100
38.8  24
39.4  23
69.8  16
70.6  16
56.5  16
81.4  11
53.3  9
68.2  9
67.8  9
83.3  3
84.8  2

[2]
Structure and theoretical powder diffraction line list of SrNb2Pt2 (a cell relaxed with PBE; a wavelength of 1.5418 Å).
Peak positions follow from Bragg's law for the DFT cell and can differ from measured ones.

Crystal structure
Cell: 8.3172 8.3172 2.8477 Å, 90.00 90.00 90.00°
Positions (direct):
Sr 0.0000 0.0000 0.0000
Sr 0.5000 0.5000 0.0000
Nb 0.1176 0.3824 0.0000
Nb 0.3824 0.8824 0.0000
Nb 0.6176 0.1176 0.0000
Nb 0.8824 0.6176 0.0000
Pt 0.1736 0.6736 0.5000
Pt 0.3264 0.1736 0.5000
Pt 0.6736 0.8264 0.5000
Pt 0.8264 0.3264 0.5000

Largest 12 diffraction maxima, by intensity, 2θ = 10–90°:
2theta  I (rel.)
39.9  100
34.1  57
38.3  36
44.9  26
23.9  25
55.9  20
57.0  17
15.1  16
30.4  15
66.0  15
69.2  13
46.3  13

[3]
Structure and theoretical powder diffraction line list of Ta8Nb2Pt (a cell relaxed with PBE; a wavelength of 1.5418 Å).
Peak positions follow from Bragg's law for the DFT cell and can differ from measured ones.

Crystal structure
Cell: 6.6271 4.5866 6.9641 Å, 90.00 103.04 90.00°
Positions (direct):
Ta 0.0802 0.0000 0.3277
Ta 0.1755 0.5000 0.6747
Ta 0.2684 0.0000 0.0015
Ta 0.3390 0.5000 0.3151
Ta 0.6610 0.5000 0.6849
Ta 0.7316 0.0000 0.9985
Ta 0.8245 0.5000 0.3253
Ta 0.9198 0.0000 0.6723
Nb 0.4115 0.0000 0.6621
Nb 0.5885 0.0000 0.3379
Pt 0.0000 0.5000 0.0000

Largest 12 diffraction maxima, by intensity, 2θ = 10–90°:
2theta  I (rel.)
38.8  100
39.2  97
39.3  49
39.9  46
57.2  32
70.0  26
70.9  25
55.5  18
71.1  17
71.4  16
72.2  15
13.7  14

[4]
Structure and theoretical powder diffraction line list of Ta4Nb5Pt (a cell relaxed with PBE; a wavelength of 1.5418 Å).
Peak positions follow from Bragg's law for the DFT cell and can differ from measured ones.

Crystal structure
Cell: 4.9828 5.5787 7.5436 Å, 106.87 99.53 104.25°
Positions (direct):
Ta 0.0193 0.2800 0.0509
Ta 0.3130 0.5693 0.6452
Ta 0.6870 0.4307 0.3548
Ta 0.9807 0.7200 0.9491
Nb 0.0181 0.0784 0.3427
Nb 0.3715 0.7810 0.3469
Nb 0.5000 0.0000 0.0000
Nb 0.6285 0.2190 0.6531
Nb 0.9819 0.9216 0.6573
Pt 0.5000 0.5000 0.0000

Largest 12 diffraction maxima, by intensity, 2θ = 10–90°:
2theta  I (rel.)
38.6  100
39.6  75
38.7  66
39.3  42
36.7  37
37.4  31
38.0  29
29.8  25
17.5  24
12.7  24
71.1  24
25.5  22

[5]
Structure and theoretical powder diffraction line list of TaNb3Pt (a cell relaxed with PBE; a wavelength of 1.5418 Å).
Peak positions follow from Bragg's law for the DFT cell and can differ from measured ones.

Crystal structure
Cell: 13.2629 5.5560 4.8934 Å, 90.00 90.00 90.00°
Positions (direct):
Ta 0.2500 0.0000 0.1975
Ta 0.2500 0.5000 0.3025
Ta 0.7500 0.0000 0.8025
Ta 0.7500 0.5000 0.6975
Nb 0.0481 0.2500 0.2500
Nb 0.1416 0.9997 0.7114
Nb 0.1416 0.5003 0.7886
Nb 0.3584 0.0003 0.7114
Nb 0.3584 0.4997 0.7886
Nb 0.4519 0.7500 0.2500
Nb 0.5481 0.2500 0.7500
Nb 0.6416 0.9997 0.2886
Nb 0.6416 0.5003 0.2114
Nb 0.8584 0.0003 0.2886
Nb 0.8584 0.4997 0.2114
Nb 0.9519 0.7500 0.7500
Pt 0.0585 0.7500 0.2500
Pt 0.4415 0.2500 0.2500
Pt 0.5585 0.7500 0.7500
Pt 0.9415 0.2500 0.7500

Largest 12 diffraction maxima, by intensity, 2θ = 10–90°:
2theta  I (rel.)
38.6  100
42.6  98
35.0  64
36.7  52
51.7  35
80.5  24
67.4  24
19.3  20
77.6  20
40.9  18
65.6  17
62.3  15

[6]
Structure and theoretical powder diffraction line list of Ta3Nb8Pt (a cell relaxed with PBE; a wavelength of 1.5418 Å).
Peak positions follow from Bragg's law for the DFT cell and can differ from measured ones.

Crystal structure
Cell: 5.3979 5.3979 8.8631 Å, 90.00 90.00 120.00°
Positions (direct):
Ta 0.0000 0.0000 0.0000
Ta 0.3333 0.6667 0.0593
Ta 0.6667 0.3333 0.9407
Nb 0.1707 0.3414 0.7494
Nb 0.1707 0.8293 0.7494
Nb 0.3333 0.6667 0.4460
Nb 0.3414 0.1707 0.2506
Nb 0.6586 0.8293 0.7494
Nb 0.6667 0.3333 0.5540
Nb 0.8293 0.1707 0.2506
Nb 0.8293 0.6586 0.2506
Pt 0.0000 0.0000 0.5000

Largest 12 diffraction maxima, by intensity, 2θ = 10–90°:
2theta  I (rel.)
39.1  100
36.0  47
39.9  45
33.2  44
63.3  24
69.7  21
66.2  20
61.1  18
43.8  16
40.7  16
45.3  14
84.0  12

[7]
Structure and theoretical powder diffraction line list of TaNb14Pt (a cell relaxed with PBE; a wavelength of 1.5418 Å).
Peak positions follow from Bragg's law for the DFT cell and can differ from measured ones.

Crystal structure
Cell: 5.7797 5.7797 9.1911 Å, 90.00 90.00 110.41°
Positions (direct):
Ta 0.0000 0.0000 0.0000
Nb 0.0000 0.0000 0.5000
Nb 0.0000 0.5000 0.0000
Nb 0.0000 0.5000 0.5000
Nb 0.2476 0.2476 0.2499
Nb 0.2476 0.2476 0.7501
Nb 0.2498 0.7502 0.2465
Nb 0.2498 0.7502 0.7535
Nb 0.5000 0.0000 0.0000
Nb 0.5000 0.0000 0.5000
Nb 0.5000 0.5000 0.5000
Nb 0.7502 0.2498 0.2465
Nb 0.7502 0.2498 0.7535
Nb 0.7524 0.7524 0.2499
Nb 0.7524 0.7524 0.7501
Pt 0.5000 0.5000 0.0000

Largest 12 diffraction maxima, by intensity, 2θ = 10–90°:
2theta  I (rel.)
38.6  100
37.9  26
55.7  25
39.2  24
68.9  18
70.6  16
82.7  11
69.4  9
70.3  9
81.0  3
84.3  3
21.1  2

[8]
Structure and theoretical powder diffraction line list of Ta3Nb3Pt (a cell relaxed with PBE; a wavelength of 1.5418 Å).
Peak positions follow from Bragg's law for the DFT cell and can differ from measured ones.

Crystal structure
Cell: 6.7222 6.7222 6.3022 Å, 104.53 104.53 95.99°
Positions (direct):
Ta 0.0906 0.9094 0.5000
Ta 0.2963 0.5831 0.6567
Ta 0.4066 0.6888 0.3087
Ta 0.5831 0.2963 0.1567
Ta 0.6888 0.4066 0.8087
Ta 0.9094 0.0906 0.0000
Nb 0.1192 0.7776 0.9854
Nb 0.1956 0.3094 0.8750
Nb 0.3094 0.1956 0.3750
Nb 0.6770 0.7822 0.0923
Nb 0.7776 0.1192 0.4854
Nb 0.7822 0.6770 0.5923
Pt 0.4965 0.9949 0.7410
Pt 0.9949 0.4965 0.2410

Largest 12 diffraction maxima, by intensity, 2θ = 10–90°:
2theta  I (rel.)
34.7  100
36.4  88
42.2  68
17.4  62
35.6  54
39.4  46
37.3  43
41.9  42
39.2  40
43.4  35
44.2  34
44.6  34

[9]
Structure and theoretical powder diffraction line list of Nb2TcPtW (a cell relaxed with PBE; a wavelength of 1.5418 Å).
Peak positions follow from Bragg's law for the DFT cell and can differ from measured ones.

Crystal structure
Cell: 4.8230 4.8230 4.8009 Å, 90.00 90.00 90.00°
Positions (direct):
Nb 0.0000 0.5000 0.0000
Nb 0.5000 0.0000 0.0000
Tc 0.0000 0.0000 0.5000
Pt 0.5000 0.5000 0.5000
W 0.5000 0.5000 0.0000

Largest 12 diffraction maxima, by intensity, 2θ = 10–90°:
2theta  I (rel.)
37.3  100
18.4  100
53.9  69
32.2  62
26.1  54
37.5  49
67.4  35
53.8  35
41.9  27
42.0  24
46.2  20
57.4  20

[10]
Structure and theoretical powder diffraction line list of Ti7Nb3Pt2 (a cell relaxed with PBE; a wavelength of 1.5418 Å).
Peak positions follow from Bragg's law for the DFT cell and can differ from measured ones.

Crystal structure
Cell: 10.4341 10.4341 4.5301 Å, 90.00 90.00 154.51°
Positions (direct):
Ti 0.0000 0.0000 0.0000
Ti 0.0833 0.9167 0.5000
Ti 0.2755 0.7245 0.0000
Ti 0.4176 0.5824 0.0000
Ti 0.5824 0.4176 0.0000
Ti 0.7245 0.2755 0.0000
Ti 0.9167 0.0833 0.5000
Nb 0.3242 0.6758 0.5000
Nb 0.5000 0.5000 0.5000
Nb 0.6758 0.3242 0.5000
Pt 0.1470 0.8530 0.0000
Pt 0.8530 0.1470 0.0000

Largest 12 diffraction maxima, by intensity, 2θ = 10–90°:
2theta  I (rel.)
41.8  100
39.1  48
30.7  48
39.8  46
28.0  37
26.3  33
57.0  31
35.5  29
17.4  23
72.8  20
29.3  18
36.6  18

[11]
Structure and theoretical powder diffraction line list of Ti6NbPt5 (a cell relaxed with PBE; a wavelength of 1.5418 Å).
Peak positions follow from Bragg's law for the DFT cell and can differ from measured ones.

Crystal structure
Cell: 4.6106 6.1942 6.9506 Å, 90.00 104.68 90.00°
Positions (direct):
Ti 0.0000 0.2481 0.0000
Ti 0.0000 0.7519 0.0000
Ti 0.3679 0.2531 0.6618
Ti 0.3679 0.7469 0.6618
Ti 0.6321 0.2531 0.3382
Ti 0.6321 0.7469 0.3382
Nb 0.5000 0.5000 0.0000
Pt 0.1096 0.0000 0.3220
Pt 0.1175 0.5000 0.3224
Pt 0.5000 0.0000 0.0000
Pt 0.8825 0.5000 0.6776
Pt 0.8904 0.0000 0.6780

Largest 12 diffraction maxima, by intensity, 2θ = 10–90°:
2theta  I (rel.)
39.6  100
41.3  93
28.9  81
40.2  52
39.2  44
26.6  42
50.2  20
74.5  16
59.7  16
75.0  16
73.8  16
71.6  15

[12]
Structure and theoretical powder diffraction line list of TiNbPt14 (a cell relaxed with PBE; a wavelength of 1.5418 Å).
Peak positions follow from Bragg's law for the DFT cell and can differ from measured ones.

Crystal structure
Cell: 5.6343 5.6343 7.9037 Å, 90.00 90.00 90.00°
Positions (direct):
Ti 0.0000 0.0000 0.0000
Nb 0.5000 0.5000 0.0000
Pt 0.0000 0.0000 0.5000
Pt 0.0000 0.5000 0.0000
Pt 0.0000 0.5000 0.5000
Pt 0.2488 0.2488 0.2428
Pt 0.2488 0.2488 0.7572
Pt 0.2488 0.7512 0.2428
Pt 0.2488 0.7512 0.7572
Pt 0.5000 0.0000 0.0000
Pt 0.5000 0.0000 0.5000
Pt 0.5000 0.5000 0.5000
Pt 0.7512 0.2488 0.2428
Pt 0.7512 0.2488 0.7572
Pt 0.7512 0.7512 0.2428
Pt 0.7512 0.7512 0.7572

Largest 12 diffraction maxima, by intensity, 2θ = 10–90°:
2theta  I (rel.)
39.3  100
45.5  33
79.9  26
66.7  21
45.9  16
80.5  12
84.5  11
66.4  11
25.0  2
33.8  2
11.2  2
22.3  1